# TaW14
Simulated powder X-ray diffraction pattern, Cu Kα (weighted mean of Kα1 and Kα2). Input: DFT lattice parameters and positions (PBE).

Structural model:
```
30
Lattice="9.817 0.000 0.000 0.000 9.817 0.000 0.000 0.000 5.154" Properties=species:S:1:pos:R:3 pbc="T T T"
Ta 0.000 0.000 0.000
Ta 4.909 4.909 2.577
W 0.322 3.624 2.577
W 0.610 2.559 0.000
W 0.985 0.985 2.577
W 1.284 5.231 0.000
W 1.838 7.980 1.291
W 1.838 7.980 3.863
W 2.349 5.519 2.577
W 2.559 0.610 0.000
W 3.071 3.071 1.286
W 3.071 3.071 3.869
W 3.624 0.322 2.577
W 3.924 5.894 0.000
W 4.298 7.468 2.577
W 4.586 8.533 0.000
W 5.231 1.284 0.000
W 5.519 2.349 2.577
W 5.894 3.924 0.000
W 6.193 9.495 2.577
W 6.746 6.746 1.286
W 6.746 6.746 3.869
W 7.258 9.207 0.000
W 7.468 4.298 2.577
W 7.980 1.838 1.291
W 7.980 1.838 3.863
W 8.533 4.586 0.000
W 8.832 8.832 2.577
W 9.207 7.258 0.000
W 9.495 6.193 2.577
```

Peak list (8 most intense, 10° ≤ 2θ ≤ 90°, by intensity)
two_theta, Rel. int.
41.79, 100
37.78, 81
40.59, 61
42.84, 46
39.49, 37
38.92, 35
67.19, 25
66.32, 23

# ErLuReGe2
Simulated powder X-ray diffraction pattern, Cu Kα (weighted mean of Kα1 and Kα2). Input: DFT lattice parameters and positions (PBE).

Structural model:
```
10
Lattice="5.427 -2.104 0.000 5.427 2.104 0.000 -4.640 0.000 8.865" Properties=species:S:1:pos:R:3 pbc="T T T"
Er 1.493 0.000 1.012
Er 4.720 0.000 7.853
Lu -3.073 0.000 5.988
Lu 9.286 0.000 2.877
Re 0.017 0.000 5.602
Re 6.196 0.000 3.264
Ge 1.915 0.000 3.896
Ge 4.747 0.000 1.111
Ge 1.466 0.000 7.754
Ge 4.298 0.000 4.969
```

Peak list (8 most intense, 10° ≤ 2θ ≤ 90°, by intensity)
two_theta, Rel. int.
33.50, 100
37.11, 53
40.25, 43
43.00, 41
32.77, 26
60.67, 23
40.71, 22
34.65, 22

# CdBr
Simulated powder X-ray diffraction pattern, Cu Kα (weighted mean of Kα1 and Kα2). Input: DFT lattice parameters and positions (PBE).

Structural model:
```
2
Lattice="3.781 0.000 0.000 -1.891 3.275 0.000 0.000 0.000 4.269" Properties=species:S:1:pos:R:3 pbc="T T T"
Cd 0.000 0.000 0.000
Br 0.000 2.183 2.135
```

Peak list (8 most intense, 10° ≤ 2θ ≤ 90°, by intensity)
two_theta, Rel. int.
34.52, 100
27.23, 34
48.13, 25
66.01, 19
60.56, 19
80.85, 16
42.34, 12
51.07, 11